This entry pairs a crystal structure of BaSr4 with its calculated powder X-ray diffraction pattern. Radiation: Cu Kα (weighted mean of Kα1 and Kα2). Structure: a DFT-relaxed cell (GGA-PBE, the Materials Project).

Crystal structure
```
data_BaSr4
_chemical_formula_sum 'Ba3 Sr12'
_cell_length_a 4.3013
_cell_length_b 4.3013
_cell_length_c 52.8982
_cell_angle_alpha 90.00
_cell_angle_beta 90.00
_cell_angle_gamma 120.00
_symmetry_space_group_name_H-M 'R -3 m'
_symmetry_Int_Tables_number 166
_symmetry_space_group_name_Hall '-R 3 2"'
loop_
_atom_site_label
_atom_site_type_symbol
_atom_site_fract_x
_atom_site_fract_y
_atom_site_fract_z
Ba1 Ba 0.0000 0.0000 0.0000
Sr1 Sr 0.0000 0.0000 0.1999
Sr2 Sr 0.0000 0.0000 0.4010
```

Main lines, in order of rising 2θ (15° ≤ 2θ ≤ 90°):
Position (°2θ)  intensity  index
25.32  100  0 1 5
29.32  52  1 0 10
41.89  19  0 1 20
42.01  19  1 1 0
49.55  12  1 0 25
49.67  35  2 0 5
52.06  10  0 2 10
67.06  10  1 2 5
76.70  10  3 0 0
82.29  11  3 0 15